This entry pairs a crystal structure of Be3Fe4Si3TeO12 with its simulated powder diffractogram. Radiation: Cu Kα. Structure: a crystal structure in Alexandria, relaxed with GGA+U.
Neutral-atom scattering factors, no anomalous dispersion.

Principal peaks in the range 2θ = 10–90°, sorted by position:
| two_theta | intensity | index |
| --- | --- | --- |
| 14.8 | 18 | 2 0 0 |
| 14.9 | 15 | 1 1 1 |
| 25.7 | 53 | 2 0 -2 |
| 25.8 | 52 | 2 0 2 |
| 26.0 | 100 | 1 3 1 |
| 29.8 | 15 | 2 2 -2 |
| 30.0 | 16 | 2 2 2 |
| 40.0 | 28 | 4 2 2 |
| 45.4 | 32 | 3 3 -3 |
| 45.7 | 46 | 3 3 3 |

Cell and atoms:
```
data_Be3Fe4Si3TeO12
_cell_length_a 12.0300
_cell_length_b 11.8509
_cell_length_c 8.4457
_cell_angle_alpha 90.00
_cell_angle_beta 90.45
_cell_angle_gamma 90.00
_symmetry_space_group_name_H-M 'C 1 c 1'
_symmetry_Int_Tables_number 9
loop_
_symmetry_equiv_pos_as_xyz
'x,y,z'
'x,-y,z+1/2'
'x+1/2,y+1/2,z'
'x+1/2,-y+1/2,z+1/2'
loop_
_atom_site_label
_atom_site_type_symbol
_atom_site_fract_x
_atom_site_fract_y
_atom_site_fract_z
Be1 Be 0.0000 0.9996 0.0000
Be2 Be 0.1254 0.3761 0.2495
Be3 Be 0.3733 0.1240 0.2471
Fe1 Fe 0.0662 0.2498 0.5579
Fe2 Fe 0.2525 0.0612 0.9309
Fe3 Fe 0.2518 0.4392 0.9299
Fe4 Fe 0.4322 0.2505 0.5590
Si1 Si 0.0000 0.5003 0.0013
Si2 Si 0.1255 0.1235 0.2494
Si3 Si 0.3730 0.3758 0.2466
Te1 Te 0.2498 0.2500 0.7478
O1 O 0.0317 0.1109 0.1081
O2 O 0.0315 0.3889 0.1088
O3 O 0.1103 0.0331 0.3963
O4 O 0.1105 0.4665 0.3973
O5 O 0.1117 0.2501 0.3268
O6 O 0.2484 0.1007 0.1716
O7 O 0.2484 0.3990 0.1713
O8 O 0.3872 0.2498 0.3262
O9 O 0.3912 0.0323 0.3910
O10 O 0.3913 0.4679 0.3906
O11 O 0.4651 0.1123 0.1054
O12 O 0.4645 0.3873 0.1041
```